(1)
Theoretical X-ray powder pattern of NaBS2 for Cu Kα X-rays, from DFT lattice parameters and positions (PBE).
Lines closer than 0.1° are merged.

Largest 12 diffraction maxima, most intense first, 2θ = 10–90°:
2θ (°)  I (rel.)
31.84  1000
24.27  916
37.99  507
35.40  407
27.00  334
36.01  238
29.48  225
47.72  218
61.31  184
37.25  178
63.56  178
43.43  177

Structural model:
```
NaBS2
1.0
7.6060 4.3913 2.5455
-7.6060 4.3913 2.5455
0.0000 -8.7827 2.5455
Na B S
6 6 12
direct
0.2147 0.7500 0.2853
0.2500 0.7147 0.7853
0.2853 0.2147 0.7500
0.7147 0.7853 0.2500
0.7500 0.2853 0.2147
0.7853 0.2500 0.7147
0.1326 0.2500 0.3674
0.2500 0.3674 0.1326
0.3674 0.1326 0.2500
0.6326 0.8674 0.7500
0.7500 0.6326 0.8674
0.8674 0.7500 0.6326
0.0159 0.2500 0.4841
0.1271 0.3729 0.2500
0.2500 0.1271 0.3729
0.2500 0.4841 0.0159
0.3729 0.2500 0.1271
0.4841 0.0159 0.2500
0.5159 0.9841 0.7500
0.6271 0.7500 0.8729
0.7500 0.5159 0.9841
0.7500 0.8729 0.6271
0.8729 0.6271 0.7500
0.9841 0.7500 0.5159
```

(2)
Theoretical X-ray powder pattern of Na2B2S5 for Cu Kα X-rays, from DFT lattice parameters and positions (PBE).
Lines closer than 0.1° are merged.

Largest 12 diffraction maxima, most intense first, 2θ = 10–90°:
2θ (°)  I (rel.)
23.22  1000
32.28  783
33.29  577
26.54  557
47.48  326
34.28  319
27.17  304
34.77  266
46.89  246
30.41  225
21.04  217
43.25  209

Structural model:
```
Na2B2S5
1.0
12.7299 0.0000 0.0000
0.0000 7.6604 0.0000
0.0000 0.0000 8.3505
Na B S
8 8 20
direct
0.1618 0.0024 0.0124
0.1618 0.4976 0.0124
0.3382 0.5024 0.5124
0.3382 0.9976 0.5124
0.6618 0.0024 0.4876
0.6618 0.4976 0.4876
0.8382 0.5024 0.9876
0.8382 0.9976 0.9876
0.0217 0.2500 0.7103
0.1291 0.2500 0.4087
0.3709 0.7500 0.9087
0.4783 0.7500 0.2103
0.5217 0.2500 0.7897
0.6291 0.2500 0.0913
0.8709 0.7500 0.5913
0.9783 0.7500 0.2897
0.0017 0.7500 0.0794
0.0072 0.7500 0.6524
0.0857 0.7500 0.4325
0.1544 0.2500 0.6253
0.2339 0.2500 0.2677
0.2661 0.7500 0.7677
0.3456 0.7500 0.1253
0.4143 0.2500 0.9325
0.4928 0.2500 0.1524
0.4983 0.2500 0.5794
0.5017 0.7500 0.4206
0.5072 0.7500 0.8476
0.5857 0.7500 0.0675
0.6544 0.2500 0.8747
0.7339 0.2500 0.2323
0.7661 0.7500 0.7323
0.8456 0.7500 0.3747
0.9143 0.2500 0.5675
0.9928 0.2500 0.3476
0.9983 0.2500 0.9206
```

(3)
Theoretical X-ray powder pattern of NaB2S3 for Cu Kα X-rays, from DFT lattice parameters and positions (PBE).
Lines closer than 0.1° are merged.

Largest 12 diffraction maxima, most intense first, 2θ = 10–90°:
2θ (°)  I (rel.)
14.26  1000
35.74  941
28.34  916
39.27  595
28.67  432
36.83  407
50.19  379
34.95  371
52.41  200
43.72  194
42.88  184
31.26  179

Structural model:
```
NaB2S3
1.0
9.2767 -1.8175 0.0000
9.2767 1.8175 0.0000
-1.3527 0.0000 6.2111
Na B S
2 4 6
direct
0.1413 0.1413 0.4448
0.8587 0.8587 0.5552
0.1974 0.1974 0.0010
0.4427 0.4427 0.0767
0.5573 0.5573 0.9233
0.8026 0.8026 0.9990
0.0994 0.0994 0.8430
0.2793 0.2793 0.8502
0.4550 0.4550 0.7872
0.5450 0.5450 0.2128
0.7207 0.7207 0.1498
0.9006 0.9006 0.1570
```

(4)
Theoretical X-ray powder pattern of NaBS4 for Cu Kα X-rays, from DFT lattice parameters and positions (PBE).
Lines closer than 0.1° are merged.

Largest 12 diffraction maxima, most intense first, 2θ = 10–90°:
2θ (°)  I (rel.)
30.02  1000
34.65  940
16.70  937
27.66  895
26.34  874
37.25  674
18.38  397
51.61  333
35.72  332
21.25  317
38.66  268
42.30  267

Structural model:
```
NaBS4
1.0
3.5739 -10.6173 0.0000
3.5739 10.6173 0.0000
-3.4138 0.0000 3.5950
Na B S
2 2 8
direct
0.1071 0.8929 0.7500
0.8929 0.1071 0.2500
0.2506 0.7494 0.2500
0.7494 0.2506 0.7500
0.0448 0.4506 0.7963
0.2787 0.3496 0.0652
0.3496 0.2787 0.5652
0.4506 0.0448 0.2963
0.5494 0.9552 0.7037
0.6504 0.7213 0.4348
0.7213 0.6504 0.9348
0.9552 0.5494 0.2037
```